For Tb3PmSb4, the PBE geometry in OQMD gives the calculated powder diffraction line list in this record (λ = 1.5418 Å (Cu Kα)).

Structure:
a = 6.254 Å, b = 6.254 Å, c = 6.254 Å
α = 90.00°, β = 90.00°, γ = 90.00°
Space group Pm-3m (No. 221)
One atom of each set of equivalent atoms:
Tb: 0.000 0.000 0.500 x3
Pm: 0.500 0.500 0.500 x1
Sb: 0.000 0.000 0.000 x1
Sb: 0.000 0.500 0.500 x3

Principal peaks in the range 2θ from 10° to 90°, in order of rising 2θ:
d = 3.611 Å, 24.7 deg, I 3, hkl 1 1 1; d = 3.127 Å, 28.5 deg, I 100, hkl 2 0 0; d = 2.211 Å, 40.8 deg, I 76, hkl 2 2 0; d = 1.886 Å, 48.3 deg, I 2, hkl 3 1 1; d = 1.805 Å, 50.6 deg, I 27, hkl 2 2 2; d = 1.564 Å, 59.1 deg, I 13, hkl 4 0 0; d = 1.435 Å, 65.0 deg, I 1, hkl 3 3 1; d = 1.399 Å, 66.9 deg, I 35, hkl 4 2 0; d = 1.277 Å, 74.3 deg, I 26, hkl 4 2 2; d = 1.204 Å, 79.7 deg, I 1, hkl 5 1 1; d = 1.106 Å, 88.4 deg, I 9, hkl 4 4 0



For Tb2Pm3Sb3, the PBE geometry in OQMD gives the calculated powder diffraction line list in this record (λ = 1.5418 Å (Cu Kα)).

Structure:
a = 9.1442 Å, b = 9.1442 Å, c = 6.4193 Å
α = 90.00°, β = 90.00°, γ = 120.00°
Space group P6_3/mcm (No. 193)
One atom of each set of equivalent atoms:
Tb: 0.3333 0.6667 0.0000 x4
Pm: 0.0000 0.2482 0.2500 x6
Sb: 0.0000 0.3912 0.7500 x6

Principal peaks in the range 2θ from 10° to 90°, in order of rising 2θ:
d = 3.210 Å, 27.8 deg, I 16, hkl 0 0 2; d = 2.993 Å, 29.9 deg, I 34, hkl 2 1 0; d = 2.975 Å, 30.0 deg, I 19, hkl 1 0 2; d = 2.713 Å, 33.0 deg, I 100, hkl 2 1 1; d = 2.640 Å, 34.0 deg, I 55, hkl 3 0 0; d = 2.627 Å, 34.1 deg, I 89, hkl 1 1 2; d = 1.862 Å, 48.9 deg, I 23, hkl 2 2 2; d = 1.748 Å, 52.3 deg, I 13, hkl 3 2 1; d = 1.741 Å, 52.6 deg, I 27, hkl 2 1 3; d = 1.685 Å, 54.5 deg, I 15, hkl 4 0 2; d = 1.420 Å, 65.7 deg, I 15, hkl 5 0 2; d = 1.371 Å, 68.4 deg, I 14, hkl 3 0 4



For Pm5SmSe6, the PBE geometry in OQMD gives the calculated powder diffraction line list in this record (λ = 1.5418 Å (Cu Kα)).

Structure:
a = 7.247 Å, b = 12.589 Å, c = 7.239 Å
α = 90.00°, β = 109.61°, γ = 90.00°
Space group C2/m (No. 12)
One atom of each set of equivalent atoms:
Pm: 0.000 0.000 0.000 x2
Pm: 0.000 0.167 0.500 x4
Pm: 0.000 0.332 0.000 x4
Sm: 0.000 0.500 0.500 x2
Se: 0.249 0.334 0.749 x8
Se: 0.249 0.500 0.250 x4

Principal peaks in the range 2θ from 10° to 90°, in order of rising 2θ:
d = 3.420 Å, 26.1 deg, I 13, hkl 2 0 0; d = 2.959 Å, 30.2 deg, I 100, hkl 1 3 1; d = 2.095 Å, 43.2 deg, I 37, hkl 0 6 0; d = 2.090 Å, 43.3 deg, I 37, hkl 2 0 2; d = 1.712 Å, 53.5 deg, I 13, hkl 2 6 -2; d = 1.706 Å, 53.7 deg, I 13, hkl 4 0 0; d = 1.480 Å, 62.8 deg, I 12, hkl 2 6 2; d = 1.326 Å, 71.1 deg, I 6, hkl 1 9 1; d = 1.324 Å, 71.2 deg, I 22, hkl 4 6 0; d = 1.210 Å, 79.2 deg, I 13, hkl 4 6 -4; d = 1.207 Å, 79.4 deg, I 6, hkl 5 3 1; d = 1.206 Å, 79.5 deg, I 6, hkl 1 3 5



For TbPm6Se8, the PBE geometry in OQMD gives the calculated powder diffraction line list in this record (λ = 1.5418 Å (Cu Kα)).

Structure:
a = 11.794 Å, b = 11.794 Å, c = 11.794 Å
α = 90.00°, β = 90.00°, γ = 90.00°
Space group Fm-3m (No. 225)
One atom of each set of equivalent atoms:
Tb: 0.000 0.000 0.000 x4
Pm: 0.000 0.250 0.250 x24
Se: 0.000 0.000 0.248 x24
Se: 0.250 0.250 0.250 x8

Principal peaks in the range 2θ from 10° to 90°, in order of rising 2θ:
d = 6.809 Å, 13.0 deg, I 9, hkl 1 1 1; d = 5.897 Å, 15.0 deg, I 4, hkl 2 0 0; d = 4.170 Å, 21.3 deg, I 3, hkl 2 2 0; d = 3.556 Å, 25.0 deg, I 6, hkl 3 1 1; d = 3.405 Å, 26.2 deg, I 11, hkl 2 2 2; d = 2.948 Å, 30.3 deg, I 100, hkl 4 0 0; d = 2.085 Å, 43.4 deg, I 74, hkl 4 4 0; d = 1.778 Å, 51.4 deg, I 5, hkl 6 2 2; d = 1.702 Å, 53.9 deg, I 26, hkl 4 4 4; d = 1.474 Å, 63.1 deg, I 12, hkl 8 0 0; d = 1.319 Å, 71.6 deg, I 33, hkl 8 4 0; d = 1.204 Å, 79.7 deg, I 25, hkl 8 4 4



For Pm2WSe2, the PBE geometry in OQMD gives the calculated powder diffraction line list in this record (λ = 1.5418 Å (Cu Kα)).

Structure:
a = 11.984 Å, b = 13.711 Å, c = 5.680 Å
α = 90.00°, β = 90.00°, γ = 90.00°
Space group Fdd2 (No. 43)
One atom of each set of equivalent atoms:
Pm: 0.111 0.299 0.000 x16
W: 0.000 0.000 0.285 x8
Se: 0.066 0.355 0.505 x16

Principal peaks in the range 2θ from 10° to 90°, in order of rising 2θ:
d = 4.512 Å, 19.7 deg, I 24, hkl 2 2 0; d = 3.179 Å, 28.1 deg, I 76, hkl 3 1 1; d = 2.975 Å, 30.0 deg, I 76, hkl 2 4 0; d = 2.745 Å, 32.6 deg, I 26, hkl 4 2 0; d = 2.658 Å, 33.7 deg, I 98, hkl 3 3 1; d = 2.624 Å, 34.2 deg, I 100, hkl 0 2 2; d = 2.419 Å, 37.2 deg, I 37, hkl 1 5 1; d = 2.403 Å, 37.4 deg, I 61, hkl 2 2 2; d = 2.180 Å, 41.4 deg, I 42, hkl 5 1 1; d = 2.101 Å, 43.1 deg, I 31, hkl 3 5 1; d = 2.054 Å, 44.1 deg, I 32, hkl 2 4 2; d = 1.830 Å, 49.8 deg, I 28, hkl 1 7 1



For PmTa2Si2, the PBE geometry in OQMD gives the calculated powder diffraction line list in this record (λ = 1.5418 Å (Cu Kα)).

Structure:
a = 4.7391 Å, b = 4.7391 Å, c = 11.6708 Å
α = 90.00°, β = 90.00°, γ = 120.00°
Space group P6_3/mmc (No. 194)
One atom of each set of equivalent atoms:
Pm: 0.0000 0.0000 0.2500 x2
Ta: 0.3333 0.6667 0.0359 x4
Si: 0.0000 0.0000 0.0000 x2
Si: 0.3333 0.6667 0.2500 x2

Principal peaks in the range 2θ from 10° to 90°, in order of rising 2θ:
d = 5.835 Å, 15.2 deg, I 26, hkl 0 0 2; d = 3.872 Å, 23.0 deg, I 19, hkl 1 0 1; d = 3.357 Å, 26.6 deg, I 100, hkl 1 0 2; d = 2.918 Å, 30.6 deg, I 30, hkl 0 0 4; d = 2.823 Å, 31.7 deg, I 26, hkl 1 0 3; d = 2.370 Å, 38.0 deg, I 89, hkl 1 1 0; d = 2.029 Å, 44.7 deg, I 33, hkl 1 0 5; d = 1.936 Å, 46.9 deg, I 22, hkl 2 0 2; d = 1.839 Å, 49.6 deg, I 48, hkl 1 1 4; d = 1.499 Å, 61.9 deg, I 19, hkl 2 1 2; d = 1.368 Å, 68.6 deg, I 16, hkl 3 0 0; d = 1.292 Å, 73.3 deg, I 15, hkl 2 1 5